Diffraction record for MgCrPC2. The X-ray diffraction stick pattern is simulated, not measured: it uses the PBE geometry in Alexandria and Cu Kα.

Atomic structure:
a = 3.745 Å, b = 3.745 Å, c = 4.878 Å
α = 90.00°, β = 90.00°, γ = 90.00°
Space group P4/mmm (No. 123)
Inequivalent atoms, fractional coordinates:
Mg: 0.000 0.000 0.000
Cr: 0.500 0.500 0.500
P: 0.500 0.500 0.000
C: 0.000 0.500 0.500

The 8 most intense peaks (10° ≤ 2θ ≤ 80°), in order of rising 2θ:
d = 3.745 Å, 2θ 23.8, I = 100, (1 0 0); d = 2.971 Å, 2θ 30.1, I = 70, (1 0 1); d = 2.648 Å, 2θ 33.8, I = 84, (1 1 0); d = 2.439 Å, 2θ 36.9, I = 72, (0 0 2); d = 2.044 Å, 2θ 44.3, I = 32, (1 0 2); d = 1.873 Å, 2θ 48.6, I = 59, (2 0 0); d = 1.794 Å, 2θ 50.9, I = 52, (1 1 2); d = 1.485 Å, 2θ 62.5, I = 51, (2 0 2)

---

Diffraction record for RbMgCr2C. The X-ray diffraction stick pattern is simulated, not measured: it uses the PBE geometry in Alexandria and Cu Kα.

Atomic structure:
a = 6.647 Å, b = 6.647 Å, c = 7.225 Å
α = 90.00°, β = 90.00°, γ = 90.00°
Space group P4/mmm (No. 123)
Inequivalent atoms, fractional coordinates:
Rb: 0.000 0.000 0.000
Mg: 0.000 0.000 0.500
Cr: 0.000 0.500 0.000
C: 0.500 0.500 0.500

The 8 most intense peaks (10° ≤ 2θ ≤ 80°), in order of rising 2θ:
d = 7.225 Å, 2θ 12.3, I = 100, (0 0 1); d = 6.647 Å, 2θ 13.3, I = 67, (1 0 0); d = 4.892 Å, 2θ 18.1, I = 35, (1 0 1); d = 3.612 Å, 2θ 24.6, I = 44, (0 0 2); d = 3.324 Å, 2θ 26.8, I = 71, (2 0 0); d = 3.019 Å, 2θ 29.6, I = 50, (2 0 1); d = 2.446 Å, 2θ 36.7, I = 59, (2 0 2); d = 1.970 Å, 2θ 46.1, I = 30, (2 2 2)

---

Diffraction record for Mn3Cr3C. The X-ray diffraction stick pattern is simulated, not measured: it uses the PBE geometry in Alexandria and Cu Kα.

Atomic structure:
a = 10.581 Å, b = 10.581 Å, c = 10.581 Å
α = 90.00°, β = 90.00°, γ = 90.00°
Space group Fd-3m (No. 227, origin choice 2)
Inequivalent atoms, fractional coordinates:
Mn: 0.000 0.000 0.000
Mn: 0.041 0.041 0.209
Cr: 0.067 0.375 0.875
C: 0.000 0.000 0.500

The 8 most intense peaks (10° ≤ 2θ ≤ 80°), in order of rising 2θ:
d = 6.109 Å, 2θ 14.5, I = 10, (1 1 1); d = 2.428 Å, 2θ 37.0, I = 8, (3 3 1); d = 2.160 Å, 2θ 41.8, I = 31, (4 2 2); d = 2.036 Å, 2θ 44.5, I = 100, (3 3 3); d = 1.871 Å, 2θ 48.7, I = 32, (4 4 0); d = 1.764 Å, 2θ 51.8, I = 11, (4 4 2); d = 1.247 Å, 2θ 76.4, I = 26, (6 6 0); d = 1.222 Å, 2θ 78.2, I = 7, (5 5 5)

---

Diffraction record for Mn3CrC. The X-ray diffraction stick pattern is simulated, not measured: it uses the PBE geometry in Alexandria and Cu Kα.

Atomic structure:
a = 6.383 Å, b = 4.793 Å, c = 8.368 Å
α = 90.00°, β = 130.11°, γ = 90.00°
Space group P2_1/c (No. 14)
Inequivalent atoms, fractional coordinates:
Mn: 0.086 0.250 0.051
Mn: 0.102 0.614 0.292
Mn: 0.407 0.608 0.710
Cr: 0.404 0.248 0.445
C: 0.249 0.573 0.004

The 8 most intense peaks (10° ≤ 2θ ≤ 80°), in order of rising 2θ:
d = 2.554 Å, 2θ 35.1, I = 25, (2 1 -1); d = 2.397 Å, 2θ 37.5, I = 19, (0 2 0); d = 2.240 Å, 2θ 40.3, I = 40, (1 2 -1); d = 2.092 Å, 2θ 43.3, I = 76, (2 0 -4); d = 1.940 Å, 2θ 46.8, I = 73, (1 1 2); d = 1.919 Å, 2θ 47.4, I = 100, (3 1 -2); d = 1.908 Å, 2θ 47.7, I = 36, (2 2 -2); d = 1.791 Å, 2θ 51.0, I = 33, (1 2 -3)

---

Diffraction record for Mn22CrC6. The X-ray diffraction stick pattern is simulated, not measured: it uses the PBE geometry in Alexandria and Cu Kα.

Atomic structure:
a = 10.414 Å, b = 10.414 Å, c = 10.414 Å
α = 90.00°, β = 90.00°, γ = 90.00°
Space group Fm-3m (No. 225)
Inequivalent atoms, fractional coordinates:
Mn: 0.000 0.168 0.168
Mn: 0.118 0.118 0.382
Mn: 0.250 0.250 0.250
Cr: 0.000 0.000 0.000
C: 0.000 0.000 0.275

The 8 most intense peaks (10° ≤ 2θ ≤ 80°), in order of rising 2θ:
d = 2.329 Å, 2θ 38.7, I = 24, (4 2 0); d = 2.126 Å, 2θ 42.5, I = 28, (4 2 2); d = 2.004 Å, 2θ 45.2, I = 100, (3 3 3); d = 1.841 Å, 2θ 49.5, I = 21, (4 4 0); d = 1.760 Å, 2θ 51.9, I = 27, (5 3 1); d = 1.736 Å, 2θ 52.7, I = 13, (6 0 0); d = 1.227 Å, 2θ 77.8, I = 20, (6 6 0); d = 1.203 Å, 2θ 79.7, I = 12, (5 5 5)

---

Diffraction record for MnCrC. The X-ray diffraction stick pattern is simulated, not measured: it uses the PBE geometry in Alexandria and Cu Kα.

Atomic structure:
a = 2.7685 Å, b = 2.7685 Å, c = 12.8744 Å
α = 90.00°, β = 90.00°, γ = 120.00°
Space group R3m (No. 160, hexagonal axes)
Inequivalent atoms, fractional coordinates:
Mn: 0.0000 0.0000 0.0000
Cr: 0.0000 0.0000 0.4939
C: 0.0000 0.0000 0.2502

The 8 most intense peaks (10° ≤ 2θ ≤ 80°), in order of rising 2θ:
d = 4.291 Å, 2θ 20.7, I = 1, (0 0 3); d = 2.357 Å, 2θ 38.2, I = 2, (1 0 1); d = 2.247 Å, 2θ 40.1, I = 100, (0 1 2); d = 2.146 Å, 2θ 42.1, I = 29, (0 0 6); d = 1.923 Å, 2θ 47.3, I = 85, (1 0 4); d = 1.755 Å, 2θ 52.1, I = 2, (0 1 5); d = 1.384 Å, 2θ 67.7, I = 26, (1 1 0); d = 1.336 Å, 2θ 70.5, I = 22, (0 1 8)